Starting from a DFT-relaxed cell (GGA+U, Alexandria), the X-ray powder pattern of Ba2InFe2O6 was calculated for Cu Kα (λ = 1.5418 Å).

Cell and atoms:
Cell lengths 6.646, 6.646, 6.646 Å; angles 54.57, 54.57, 54.57 degrees
Element x y z (fractional)
Ba 0.215 0.215 0.215
Ba 0.785 0.785 0.785
In 0.000 0.000 0.000
Fe 0.424 0.424 0.424
Fe 0.576 0.576 0.576
O 0.233 0.757 0.757
O 0.243 0.243 0.767
O 0.243 0.767 0.243
O 0.757 0.233 0.757
O 0.757 0.757 0.233
O 0.767 0.243 0.243

Principal peaks in the range 2θ = 10–90°, sorted by position:
27.0°, 3.300 Å, rel. 25
29.3°, 3.047 Å, rel. 100
31.4°, 2.848 Å, rel. 71
40.3°, 2.239 Å, rel. 23
43.5°, 2.081 Å, rel. 30
52.0°, 1.759 Å, rel. 20
53.3°, 1.718 Å, rel. 33
57.6°, 1.600 Å, rel. 22
60.8°, 1.523 Å, rel. 18
70.0°, 1.343 Å, rel. 13